Na3Ho3MnSe8: theoretical powder diffraction line list (Cu Kα), based on DFT lattice parameters and positions (GGA-PBE).

Cell and atoms:
```
data_Na3Ho3MnSe8
_chemical_formula_sum 'Na9 Ho9 Mn3 Se24'
_cell_length_a 8.0538
_cell_length_b 8.0538
_cell_length_c 21.2774
_cell_angle_alpha 90.00
_cell_angle_beta 90.00
_cell_angle_gamma 120.00
_space_group_name_H-M_alt 'R -3 m'
_space_group_IT_number 166
_space_group_name_Hall '-R 3 2"'
loop_
_atom_site_label
_atom_site_type_symbol
_atom_site_fract_x
_atom_site_fract_y
_atom_site_fract_z
_atom_site_occupancy
Na1 Na 0.0000 0.5000 0.0000 1
Ho1 Ho 0.0000 0.5000 0.5000 1
Mn1 Mn 0.0000 0.0000 0.5000 1
Se1 Se 0.0000 0.0000 0.2432 1
Se2 Se 0.0315 0.5157 0.2370 1
```

Main lines, in order of falling intensity (5 to 70 degrees two-theta):
| 2θ/deg | I/Imax | (hkl) |
| --- | --- | --- |
| 30.65 | 100 | 0 2 4 |
| 12.48 | 69 | 0 0 3 |
| 42.76 | 35 | 2 0 8 |
| 45.03 | 34 | 2 2 0 |
| 39.32 | 20 | 0 2 7 |
| 25.89 | 19 | 0 2 1 |
| 55.45 | 17 | 4 0 4 |
| 46.91 | 15 | 2 2 3 |



Ho3Mn2Ni7: theoretical powder diffraction line list (Cu Kα), based on DFT lattice parameters and positions (GGA-PBE).

Cell and atoms:
```
data_Ho3Mn2Ni7
_chemical_formula_sum 'Ho9 Mn6 Ni21'
_cell_length_a 5.0559
_cell_length_b 5.0559
_cell_length_c 24.2303
_cell_angle_alpha 90.00
_cell_angle_beta 90.00
_cell_angle_gamma 120.00
_space_group_name_H-M_alt 'R -3 m'
_space_group_IT_number 166
_space_group_name_Hall '-R 3 2"'
loop_
_atom_site_label
_atom_site_type_symbol
_atom_site_fract_x
_atom_site_fract_y
_atom_site_fract_z
_atom_site_occupancy
Ho1 Ho 0.0000 0.0000 0.0000 1
Ho2 Ho 0.0000 0.0000 0.1393 1
Mn1 Mn 0.0000 0.0000 0.3329 1
Ni1 Ni 0.0000 0.0000 0.5000 1
Ni2 Ni 0.0008 0.5004 0.0825 1
```

Main lines, in order of falling intensity (5 to 70 degrees two-theta):
| 2θ/deg | I/Imax | (hkl) |
| --- | --- | --- |
| 42.17 | 100 | 1 1 6 |
| 35.51 | 57 | 1 1 0 |
| 32.99 | 56 | 1 0 7 |
| 41.41 | 45 | 0 2 1 |
| 36.06 | 45 | 0 1 8 |
| 68.34 | 23 | 3 0 6 |
| 62.17 | 18 | 2 1 7 |
| 64.12 | 17 | 1 2 8 |



HoMn2Ni9: theoretical powder diffraction line list (Cu Kα), based on DFT lattice parameters and positions (GGA-PBE).

Cell and atoms:
```
data_HoMn2Ni9
_chemical_formula_sum 'Ho3 Mn6 Ni27'
_cell_length_a 4.7960
_cell_length_b 4.7960
_cell_length_c 23.3074
_cell_angle_alpha 90.00
_cell_angle_beta 90.00
_cell_angle_gamma 120.00
_space_group_name_H-M_alt 'R -3 m'
_space_group_IT_number 166
_space_group_name_Hall '-R 3 2"'
loop_
_atom_site_label
_atom_site_type_symbol
_atom_site_fract_x
_atom_site_fract_y
_atom_site_fract_z
_atom_site_occupancy
Ho1 Ho 0.0000 0.0000 0.0000 1
Mn1 Mn 0.0000 0.0000 0.1449 1
Ni1 Ni 0.0000 0.0000 0.3340 1
Ni2 Ni 0.0000 0.0000 0.5000 1
Ni3 Ni 0.0049 0.5024 0.9139 1
```

Main lines, in order of falling intensity (5 to 70 degrees two-theta):
| 2θ/deg | I/Imax | (hkl) |
| --- | --- | --- |
| 44.38 | 100 | 1 1 6 |
| 43.76 | 27 | 0 2 1 |
| 37.51 | 26 | 1 1 0 |
| 46.77 | 21 | 0 0 12 |
| 37.72 | 17 | 0 1 8 |
| 34.52 | 16 | 1 0 7 |
| 11.39 | 13 | 0 0 3 |
| 47.96 | 12 | 2 0 5 |



HoMn2Ni9: theoretical powder diffraction line list (Cu Kα), based on DFT lattice parameters and positions (GGA-PBE).

Cell and atoms:
```
data_HoMn2Ni9
_chemical_formula_sum 'Ho2 Mn4 Ni18'
_cell_length_a 8.058
_cell_length_b 8.058
_cell_length_c 4.715
_cell_angle_alpha 90.00
_cell_angle_beta 90.00
_cell_angle_gamma 90.00
_space_group_name_H-M_alt 'P 4/m b m'
_space_group_IT_number 127
_space_group_name_Hall '-P 4 2ab'
loop_
_atom_site_label
_atom_site_type_symbol
_atom_site_fract_x
_atom_site_fract_y
_atom_site_fract_z
_atom_site_occupancy
Ho1 Ho 0.000 0.000 0.000 1
Mn1 Mn 0.119 0.381 0.000 1
Ni1 Ni 0.000 0.500 0.500 1
Ni2 Ni 0.063 0.210 0.500 1
Ni3 Ni 0.179 0.679 0.242 1
```

Main lines, in order of falling intensity (5 to 70 degrees two-theta):
| 2θ/deg | I/Imax | (hkl) |
| --- | --- | --- |
| 40.23 | 100 | 3 1 1 |
| 46.00 | 56 | 2 1 2 |
| 46.46 | 43 | 4 1 0 |
| 44.53 | 42 | 2 0 2 |
| 36.86 | 36 | 2 2 1 |
| 44.88 | 26 | 3 2 1 |
| 35.22 | 21 | 3 1 0 |
| 50.66 | 19 | 4 2 0 |



Ho2MnSi3Ni12: theoretical powder diffraction line list (Cu Kα), based on DFT lattice parameters and positions (GGA-PBE).

Cell and atoms:
```
data_Ho2MnSi3Ni12
_chemical_formula_sum 'Ho6 Mn3 Si9 Ni36'
_cell_length_a 6.0240
_cell_length_b 6.0240
_cell_length_c 24.6655
_cell_angle_alpha 90.00
_cell_angle_beta 90.00
_cell_angle_gamma 120.00
_space_group_name_H-M_alt 'R -3 m'
_space_group_IT_number 166
_space_group_name_Hall '-R 3 2"'
loop_
_atom_site_label
_atom_site_type_symbol
_atom_site_fract_x
_atom_site_fract_y
_atom_site_fract_z
_atom_site_occupancy
Ho1 Ho 0.0000 0.0000 0.1492 1
Mn1 Mn 0.0000 0.0000 0.5000 1
Si1 Si 0.0000 0.5000 0.0000 1
Ni1 Ni 0.0450 0.5225 0.0960 1
Ni2 Ni 0.0650 0.5325 0.6220 1
```

Main lines, in order of falling intensity (5 to 70 degrees two-theta):
| 2θ/deg | I/Imax | (hkl) |
| --- | --- | --- |
| 31.64 | 100 | 1 1 3 |
| 37.43 | 94 | 0 2 4 |
| 37.00 | 56 | 1 1 6 |
| 40.45 | 41 | 1 0 10 |
| 61.58 | 38 | 2 2 0 |
| 30.62 | 38 | 1 0 7 |
| 45.55 | 38 | 2 0 8 |
| 43.95 | 34 | 0 1 11 |